Record 1
The following is a calculated powder diffractogram of NaNiPO4. It was derived from a structure optimized by DFT (PBE+U), using Cu Kα.
Neutral-atom scattering factors, no anomalous dispersion.

Lattice parameters (Å, degrees): 10.248 6.186 4.977 90.00 90.00 90.00
Space group Pnma (No. 62)
Symmetry-distinct sites (fractional):
Na1 0.000 0.000 0.000
Ni1 0.219 0.250 0.491
P1 0.107 0.750 0.438
O1 0.037 0.250 0.657
O2 0.116 0.750 0.746
O3 0.178 0.552 0.301

The 10 most intense peaks (10 to 90 degrees two-theta), sorted by position:
2theta	I (rel.)	(hkl)
17.31	28	2 0 0
19.83	27	1 0 1
24.54	88	1 1 1
28.86	50	0 2 0
31.77	67	3 0 1
35.01	100	3 1 1
35.27	72	1 2 1
50.32	75	2 2 2
55.21	26	3 3 1
55.84	24	6 1 0

=====

Record 2
The following is a calculated powder diffractogram of LiTiFe5O8. It was derived from a structure optimized by DFT (PBE+U), using Cu Kα.
Neutral-atom scattering factors, no anomalous dispersion.

Lattice parameters (Å, degrees): 6.163 6.195 6.226 119.78 119.59 90.05
Space group P1 (No. 1)
Symmetry-distinct sites (fractional):
Li1 0.000 0.000 0.000
Ti1 0.172 0.890 0.355
Fe1 0.132 0.387 0.798
Fe2 0.171 0.434 0.352
Fe3 0.530 0.000 0.066
Fe4 0.657 0.387 0.797
Fe5 0.745 0.737 0.500
O1 0.362 0.655 0.292
O2 0.375 0.121 0.298
O3 0.388 0.109 0.784
O4 0.402 0.619 0.811
O5 0.905 0.166 0.818
O6 0.911 0.653 0.829
O7 0.918 0.121 0.298
O8 0.921 0.655 0.293

The 10 most intense peaks (10 to 90 degrees two-theta), sorted by position:
2theta	I (rel.)	(hkl)
28.66	40	-1 1 1
33.55	92	0 1 -2
33.95	100	2 -1 0
34.03	63	2 1 -2
40.62	19	0 0 2
41.33	31	2 2 -2
54.48	20	2 -3 0
54.59	25	3 2 -2
59.34	68	2 2 0
60.05	19	4 0 -2

=====

Record 3
The following is a calculated powder diffractogram of VPO5. It was derived from a structure optimized by DFT (PBE+U), using Cu Kα.
Neutral-atom scattering factors, no anomalous dispersion.

Lattice parameters (Å, degrees): 7.015 7.428 7.579 89.04 89.88 64.61
Space group P-1 (No. 2)
Symmetry-distinct sites (fractional):
V1 0.204 0.038 0.270
V2 0.294 0.457 0.770
P1 0.017 0.743 0.091
P2 0.488 0.255 0.408
O1 0.002 0.226 0.345
O2 0.059 0.397 0.808
O3 0.080 0.856 0.229
O4 0.167 0.108 0.027
O5 0.210 0.618 0.977
O6 0.302 0.379 0.532
O7 0.320 0.892 0.484
O8 0.414 0.138 0.280
O9 0.450 0.604 0.703
O10 0.485 0.256 0.847

The 10 most intense peaks (10 to 90 degrees two-theta), sorted by position:
2theta	I (rel.)	(hkl)
18.20	51	1 0 -1
18.30	36	1 0 1
18.59	48	1 1 1
18.79	55	1 1 -1
23.48	27	0 0 2
25.78	74	-1 1 1
26.07	94	1 -1 1
26.82	34	0 1 2
27.23	31	0 1 -2
29.32	100	2 2 0

=====

Record 4
The following is a calculated powder diffractogram of Sr2FeP3O12. It was derived from a structure optimized by DFT (PBE+U), using Cu Kα.
Neutral-atom scattering factors, no anomalous dispersion.

Lattice parameters (Å, degrees): 11.257 11.805 9.080 90.00 125.91 90.00
Space group C2/c (No. 15)
Symmetry-distinct sites (fractional):
Sr1 0.205 0.041 0.301
Fe1 0.250 0.250 0.000
P1 0.000 0.469 0.750
P2 0.059 0.192 0.549
O1 0.070 0.458 0.180
O2 0.091 0.090 0.470
O3 0.111 0.190 0.051
O4 0.111 0.306 0.524
O5 0.132 0.397 0.900
O6 0.136 0.170 0.756

The 10 most intense peaks (10 to 90 degrees two-theta), sorted by position:
2theta	I (rel.)	(hkl)
12.58	29	1 1 -1
24.65	20	1 3 0
24.80	24	1 3 -1
25.89	85	3 1 -2
28.60	100	0 2 2
30.35	36	3 1 0
31.56	20	3 1 -3
32.69	37	0 4 1
33.39	30	3 3 -1
49.64	36	3 5 -3

=====

Record 5
The following is a calculated powder diffractogram of Li4Mn2Fe3Sb3O16. It was derived from a structure optimized by DFT (PBE+U), using Cu Kα.
Neutral-atom scattering factors, no anomalous dispersion.

Lattice parameters (Å, degrees): 10.652 6.169 9.925 90.00 90.02 90.00
Space group Cm (No. 8)
Symmetry-distinct sites (fractional):
Li1 0.000 0.000 0.000
Li2 0.004 0.000 0.507
Li3 0.171 0.500 0.887
Li4 0.335 0.000 0.402
Mn1 0.184 0.500 0.507
Mn2 0.355 0.000 0.988
Fe1 0.343 0.500 0.222
Fe2 0.424 0.250 0.719
Sb1 0.097 0.254 0.220
Sb2 0.178 0.000 0.722
O1 0.012 0.000 0.820
O2 0.021 0.000 0.324
O3 0.024 0.500 0.337
O4 0.090 0.232 0.612
O5 0.168 0.500 0.104
O6 0.170 0.000 0.104
O7 0.246 0.266 0.335
O8 0.265 0.223 0.840
O9 0.339 0.000 0.610
O10 0.353 0.500 0.612
O11 0.440 0.257 0.109
O12 0.485 0.000 0.843

The 10 most intense peaks (10 to 90 degrees two-theta), sorted by position:
2theta	I (rel.)	(hkl)
17.87	100	0 0 2
18.89	91	2 0 -1
24.50	40	2 0 2
31.83	34	2 0 3
34.27	47	0 2 2
34.83	84	2 2 1
38.31	35	4 0 2
43.59	68	2 2 -3
57.91	46	2 2 -5
60.13	25	6 2 0

=====

Record 6
The following is a calculated powder diffractogram of LiNi6O6F. It was derived from a structure optimized by DFT (PBE+U), using Cu Kα.
Neutral-atom scattering factors, no anomalous dispersion.

Lattice parameters (Å, degrees): 2.974 2.974 29.707 90.00 90.00 90.00
Space group I4/mmm (No. 139)
Symmetry-distinct sites (fractional):
Li1 0.000 0.000 0.000
Ni1 0.000 0.000 0.143
Ni2 0.000 0.000 0.286
Ni3 0.000 0.000 0.427
O1 0.000 0.000 0.072
O2 0.000 0.000 0.214
O3 0.000 0.000 0.357
F1 0.000 0.000 0.500

The 10 most intense peaks (10 to 90 degrees two-theta), sorted by position:
2theta	I (rel.)	(hkl)
11.92	18	0 0 4
30.21	8	1 0 1
36.91	93	1 0 7
42.61	51	0 0 14
43.02	100	1 1 0
62.15	58	1 1 14
62.47	29	2 0 0
74.24	12	1 0 21
74.82	24	2 1 7
78.56	27	2 0 14

=====

Record 7
The following is a calculated powder diffractogram of Li2TiCo3O8. It was derived from a structure optimized by DFT (PBE+U), using Cu Kα.
Neutral-atom scattering factors, no anomalous dispersion.

Lattice parameters (Å, degrees): 8.139 8.139 8.139 90.00 90.00 90.00
Space group P4_332 (No. 212)
Symmetry-distinct sites (fractional):
Li1 0.005 0.495 0.505
Ti1 0.125 0.875 0.375
Co1 0.124 0.625 0.126
O1 0.108 0.608 0.892
O2 0.111 0.888 0.617

The 10 most intense peaks (10 to 90 degrees two-theta), sorted by position:
2theta	I (rel.)	(hkl)
18.88	100	1 1 1
36.62	47	3 1 1
38.31	11	2 2 2
44.53	54	4 0 0
48.77	10	3 3 1
58.96	20	5 1 1
64.80	32	4 4 0
68.16	14	5 3 1
82.02	8	4 4 4
85.13	7	5 5 1